(1)
Theoretical powder diffractogram
Compound: ErSi2Se4
Radiation: Cu Kα, 1.54184 Å
Structure: DFT lattice parameters and positions (GGA-PBE)
Kinematic intensities with the Lorentz-polarization factor, no thermal factor.

Principal peaks in the range 2θ = 10–80°, low angle first:
2θ (°)  Rel. int.
17.80  52
26.75  37
29.80  100
33.78  26
37.91  19
47.00  44
49.18  25
52.08  25

Structure:
Lattice parameters (Å, degrees): 6.267 6.267 6.267 106.43 106.43 115.74
Atoms (fractional coordinates):
Er: 0.000 0.000 0.000
Si: 0.250 0.750 0.500
Si: 0.750 0.250 0.500
Se: 0.184 0.326 0.510
Se: 0.326 0.816 0.142
Se: 0.674 0.184 0.858
Se: 0.816 0.674 0.490

(2)
Theoretical powder diffractogram
Compound: Sm4GaTe2S
Radiation: Cu Kα, 1.54184 Å
Structure: DFT lattice parameters and positions (GGA-PBE)
Kinematic intensities with the Lorentz-polarization factor, no thermal factor.

Principal peaks in the range 2θ = 10–80°, low angle first:
2θ (°)  Rel. int.
29.37  100
41.31  12
41.44  23
42.55  25
42.77  12
52.70  13
60.99  12
69.83  11

Structure:
Lattice parameters (Å, degrees): 7.372 4.228 7.630 90.00 108.68 90.00
Atoms (fractional coordinates):
Sm: 0.239 0.000 0.217
Sm: 0.258 0.500 0.774
Sm: 0.742 0.500 0.226
Sm: 0.761 0.000 0.783
Ga: 0.500 0.000 0.000
Te: 0.000 0.000 0.500
Te: 0.500 0.500 0.500
S: 0.000 0.500 0.000

(3)
Theoretical powder diffractogram
Compound: Ce3TlCd
Radiation: Cu Kα, 1.54184 Å
Structure: DFT lattice parameters and positions (GGA-PBE)
Kinematic intensities with the Lorentz-polarization factor, no thermal factor.

Principal peaks in the range 2θ = 10–80°, low angle first:
2θ (°)  Rel. int.
11.82  23
30.63  26
31.73  27
34.15  100
34.66  31
35.58  36
36.82  77
49.35  23

Structure:
Lattice parameters (Å, degrees): 11.792 4.881 9.689 90.00 90.00 90.00
Atoms (fractional coordinates):
Ce: 0.133 0.250 0.118
Ce: 0.145 0.750 0.676
Ce: 0.181 0.250 0.832
Ce: 0.319 0.750 0.332
Ce: 0.355 0.250 0.176
Ce: 0.367 0.750 0.618
Ce: 0.633 0.250 0.382
Ce: 0.645 0.750 0.824
Ce: 0.681 0.250 0.668
Ce: 0.819 0.750 0.168
Ce: 0.855 0.250 0.324
Ce: 0.867 0.750 0.882
Tl: 0.049 0.750 0.343
Tl: 0.451 0.250 0.843
Tl: 0.549 0.750 0.157
Tl: 0.951 0.250 0.657
Cd: 0.188 0.250 0.471
Cd: 0.312 0.750 0.971
Cd: 0.688 0.250 0.029
Cd: 0.812 0.750 0.529